# 1
Structure and computed PXRD pattern of FeAgMo2O8 (a PBE+U-relaxed structure; copper Kα).
Intensities are scaled so that the largest is 100.

Principal peaks in the range 5 to 70 degrees two-theta, in order of rising 2θ:
2θ = 18.00°, I = 16; 2θ = 22.70°, I = 100; 2θ = 31.44°, I = 84; 2θ = 33.19°, I = 60; 2θ = 46.04°, I = 18; 2θ = 46.37°, I = 35; 2θ = 51.03°, I = 23; 2θ = 55.98°, I = 15; 2θ = 57.10°, I = 31; 2θ = 66.64°, I = 18

Atomic structure:
```
FeAgMo2O8
1.0
5.690 0.000 0.000
-2.845 4.928 0.000
0.000 0.000 6.453
Fe Ag Mo O
1 1 2 8
Direct
0.000 0.000 0.000 Fe
0.000 0.000 0.500 Ag
0.333 0.667 0.266 Mo
0.667 0.333 0.734 Mo
0.157 0.315 0.180 O
0.159 0.843 0.180 O
0.315 0.159 0.820 O
0.333 0.667 0.536 O
0.667 0.333 0.464 O
0.685 0.841 0.180 O
0.841 0.157 0.820 O
0.843 0.685 0.820 O
```



# 2
Structure and computed PXRD pattern of Fe2Ag2MoO6 (a PBE+U-relaxed structure; copper Kα).
Intensities are scaled so that the largest is 100.

Principal peaks in the range 5 to 70 degrees two-theta, in order of rising 2θ:
2θ = 21.21°, I = 22; 2θ = 24.80°, I = 51; 2θ = 30.03°, I = 47; 2θ = 34.56°, I = 100; 2θ = 38.02°, I = 22; 2θ = 42.36°, I = 65; 2θ = 50.21°, I = 33; 2θ = 53.83°, I = 18; 2θ = 61.05°, I = 26; 2θ = 61.94°, I = 16

Atomic structure:
```
Fe2Ag2MoO6
1.0
2.738 -4.501 0.000
2.738 4.501 0.000
-2.013 0.000 5.951
Fe Ag Mo O
2 2 1 6
Direct
0.158 0.842 0.000 Fe
0.842 0.158 0.000 Fe
0.192 0.808 0.500 Ag
0.808 0.192 0.500 Ag
0.500 0.500 0.000 Mo
0.116 0.116 0.807 O
0.235 0.552 0.174 O
0.448 0.765 0.826 O
0.552 0.235 0.174 O
0.765 0.448 0.826 O
0.884 0.884 0.193 O
```